The following is a simulated PXRD pattern of Ho5CuAg4. It was derived from a structure optimized by DFT (PBE), using Cu Kα.
Neutral-atom scattering factors, no anomalous dispersion.

Top 12 peaks for 10° ≤ 2θ ≤ 80°, by angle:
Position (°2θ), I (rel.), (hkl)
24.39, 3, 0 0 5
25.02, 6, 1 0 0
31.89, 2, 1 0 4
35.22, 100, 1 0 5
35.67, 49, 1 1 0
43.69, 3, 1 1 5
49.99, 9, 0 0 10
51.34, 17, 2 0 0
62.92, 17, 1 1 10
63.79, 35, 2 1 5
74.47, 10, 2 0 10
75.56, 5, 2 2 0

Atomic structure:
a = 3.5593 Å, b = 3.5593 Å, c = 18.2459 Å
α = 90.00°, β = 90.00°, γ = 90.00°
Space group P4/mmm (No. 123)
Asymmetric unit:
Ho: 0.0000 0.0000 0.0000 (multiplicity 1)
Ho: 0.0000 0.0000 0.2037 (multiplicity 2)
Ho: 0.0000 0.0000 0.4076 (multiplicity 2)
Cu: 0.5000 0.5000 0.5000 (multiplicity 1)
Ag: 0.5000 0.5000 0.1017 (multiplicity 2)
Ag: 0.5000 0.5000 0.3049 (multiplicity 2)


The following is a simulated PXRD pattern of TbEr4Tc. It was derived from a structure optimized by DFT (PBE), using Cu Kα.
Neutral-atom scattering factors, no anomalous dispersion.

Top 12 peaks for 10° ≤ 2θ ≤ 80°, by angle:
Position (°2θ), I (rel.), (hkl)
30.03, 19, 2 0 5
31.04, 30, 3 0 1
31.65, 100, 1 1 4
32.02, 17, 2 1 1
32.48, 21, 1 0 7
32.73, 22, 0 1 5
33.48, 13, 2 0 6
34.41, 50, 2 1 3
35.30, 14, 0 0 8
35.54, 28, 3 0 4
38.84, 21, 2 1 5
49.29, 24, 0 2 0

Atomic structure:
a = 8.7314 Å, b = 3.6978 Å, c = 20.3385 Å
α = 90.00°, β = 90.00°, γ = 90.00°
Space group Pnma (No. 62)
Asymmetric unit:
Tb: 0.2262 0.2500 0.1878 (multiplicity 4)
Er: 0.0106 0.7500 0.5664 (multiplicity 4)
Er: 0.0379 0.7500 0.2932 (multiplicity 4)
Er: 0.1311 0.7500 0.0445 (multiplicity 4)
Er: 0.1491 0.7500 0.8576 (multiplicity 4)
Tc: 0.2394 0.7500 0.4547 (multiplicity 4)


The following is a simulated PXRD pattern of IrRh5. It was derived from a structure optimized by DFT (PBE), using Cu Kα.
Neutral-atom scattering factors, no anomalous dispersion.

Top 12 peaks for 10° ≤ 2θ ≤ 80°, by angle:
Position (°2θ), I (rel.), (hkl)
15.36, 4, 0 2 0
23.12, 1, 0 0 1
24.40, 2, 1 1 0
27.87, 2, 0 2 1
32.94, 1, 1 3 0
33.86, 2, 1 1 1
40.63, 100, 1 3 1
47.27, 48, 2 0 0
49.99, 1, 2 2 0
51.98, 1, 1 5 1
53.26, 1, 2 0 1
69.07, 31, 2 6 0

Atomic structure:
a = 3.8459 Å, b = 11.5343 Å, c = 3.8478 Å
α = 90.00°, β = 90.00°, γ = 90.00°
Space group Cmmm (No. 65)
Asymmetric unit:
Ir: 0.0000 0.0000 0.0000 (multiplicity 2)
Rh: 0.0000 0.1663 0.5000 (multiplicity 4)
Rh: 0.0000 0.3351 0.0000 (multiplicity 4)
Rh: 0.0000 0.5000 0.5000 (multiplicity 2)


The following is a simulated PXRD pattern of Pr2CdSe4. It was derived from a structure optimized by DFT (PBE), using Cu Kα.
Neutral-atom scattering factors, no anomalous dispersion.

Top 12 peaks for 10° ≤ 2θ ≤ 80°, by angle:
Position (°2θ), I (rel.), (hkl)
23.76, 27, 1 1 2
24.40, 39, 2 1 1
30.43, 92, 1 0 3
31.77, 87, 3 0 1
31.94, 100, 3 1 0
36.71, 66, 2 1 3
37.43, 46, 3 1 2
37.85, 41, 3 2 1
43.82, 23, 2 0 4
47.11, 36, 3 2 3
51.68, 21, 4 1 3
52.56, 26, 4 3 1

Atomic structure:
a = 8.8617 Å, b = 8.8617 Å, c = 9.3403 Å
α = 90.00°, β = 90.00°, γ = 90.00°
Space group I-42d (No. 122)
Asymmetric unit:
Pr: 0.1338 0.7500 0.1250 (multiplicity 8)
Cd: 0.0000 0.0000 0.5000 (multiplicity 4)
Se: 0.0694 0.6949 0.4389 (multiplicity 16)


> Number 3 is which compound?

IrRh5